[1]
Simulated X-ray diffraction stick pattern of Al2Co2Re for CuKα, from a PBE-relaxed structure.
Kinematic intensities with the Lorentz-polarization factor, no thermal factor.

Top 10 peaks for 10 to 90 degrees two-theta, by intensity:
2θ (°)	I/Imax	hkl
41.66	100	3 1 0
18.30	79	1 1 0
43.03	65	2 0 1
38.59	60	1 1 1
37.09	40	2 2 0
45.11	36	2 1 1
25.99	31	2 0 0
54.60	27	3 1 1
85.65	25	3 1 2
60.38	22	4 2 0

Structural model:
```
data_Al2Co2Re
_space_group_name_H-M_alt 'P 4/m b m'
_space_group_IT_number 127
_space_group_name_Hall '-P 4 2ab'
_cell_length_a 6.856
_cell_length_b 6.856
_cell_length_c 2.661
_cell_angle_alpha 90.00
_cell_angle_beta 90.00
_cell_angle_gamma 90.00
loop_
_atom_site_label
_atom_site_type_symbol
_atom_site_fract_x
_atom_site_fract_y
_atom_site_fract_z
_atom_site_occupancy
Al1 Al 0.135 0.365 0.000 1
Co1 Co 0.163 0.663 0.500 1
Re1 Re 0.000 0.000 0.000 1
```


[2]
Simulated X-ray diffraction stick pattern of CaHg6Pb12 for CuKα, from a PBE-relaxed structure.
Kinematic intensities with the Lorentz-polarization factor, no thermal factor.

Top 10 peaks for 10 to 90 degrees two-theta, by intensity:
2θ (°)	I/Imax	hkl
32.97	100	4 -3 1
33.94	65	2 1 4
31.49	46	0 1 5
34.64	43	3 1 2
32.48	43	0 3 3
61.02	16	7 -2 3
35.23	16	2 0 5
56.37	14	1 4 6
23.74	14	2 -1 3
36.13	13	4 -2 3

Structural model:
```
data_CaHg6Pb12
_space_group_name_H-M_alt 'R -3'
_space_group_IT_number 148
_space_group_name_Hall '-R 3'
_cell_length_a 11.5069
_cell_length_b 11.5069
_cell_length_c 14.8187
_cell_angle_alpha 90.00
_cell_angle_beta 90.00
_cell_angle_gamma 120.00
loop_
_atom_site_label
_atom_site_type_symbol
_atom_site_fract_x
_atom_site_fract_y
_atom_site_fract_z
_atom_site_occupancy
Ca1 Ca 0.0000 0.0000 0.0000 1
Hg1 Hg 0.0308 0.5848 0.7070 1
Pb1 Pb 0.0286 0.8408 0.8103 1
Pb2 Pb 0.0648 0.2094 0.4081 1
```


[3]
Simulated X-ray diffraction stick pattern of VI4 for CuKα, from a PBE-relaxed structure.
Kinematic intensities with the Lorentz-polarization factor, no thermal factor.

Top 10 peaks for 10 to 90 degrees two-theta, by intensity:
2θ (°)	I/Imax	hkl
24.07	100	1 1 2
40.25	28	2 0 4
27.26	27	2 0 0
46.30	26	3 1 2
15.34	17	1 0 1
38.93	14	2 2 0
48.58	13	1 1 6
29.05	13	0 0 4
63.93	9	3 1 6
49.30	9	2 2 4

Structural model:
```
data_VI4
_space_group_name_H-M_alt 'I -4 2 m'
_space_group_IT_number 121
_space_group_name_Hall 'I -4 2'
_cell_length_a 6.543
_cell_length_b 6.543
_cell_length_c 12.297
_cell_angle_alpha 90.00
_cell_angle_beta 90.00
_cell_angle_gamma 90.00
loop_
_atom_site_label
_atom_site_type_symbol
_atom_site_fract_x
_atom_site_fract_y
_atom_site_fract_z
_atom_site_occupancy
V1 V 0.000 0.000 0.000 1
I1 I 0.223 0.223 0.883 1
```


[4]
Simulated X-ray diffraction stick pattern of Tb2SmY6Tm for CuKα, from a PBE-relaxed structure.
Kinematic intensities with the Lorentz-polarization factor, no thermal factor.

Top 10 peaks for 10 to 90 degrees two-theta, by intensity:
2θ (°)	I/Imax	hkl
31.56	100	2 2 2
30.53	90	0 2 3
31.39	41	1 5 0
33.71	40	1 3 -3
28.64	37	1 3 2
27.90	28	2 2 -2
32.38	24	1 5 -1
11.78	23	0 2 0
38.14	19	1 1 -4
33.24	16	1 5 1

Structural model:
```
data_Tb2SmY6Tm
_space_group_name_H-M_alt 'C 1 2/c 1'
_space_group_IT_number 15
_cell_length_a 9.101
_cell_length_b 15.022
_cell_length_c 9.624
_cell_angle_alpha 90.00
_cell_angle_beta 98.19
_cell_angle_gamma 90.00
loop_
_space_group_symop_operation_xyz
'x,y,z'
'-x,-y,-z'
'-x,y,-z+1/2'
'x,-y,z+1/2'
'x+1/2,y+1/2,z'
'-x+1/2,-y+1/2,-z'
'-x+1/2,y+1/2,-z+1/2'
'x+1/2,-y+1/2,z+1/2'
loop_
_atom_site_label
_atom_site_type_symbol
_atom_site_fract_x
_atom_site_fract_y
_atom_site_fract_z
_atom_site_occupancy
Tb1 Tb 0.249 0.051 0.046 1
Sm1 Sm 0.000 0.023 0.750 1
Y1 Y 0.063 0.186 0.443 1
Y2 Y 0.100 0.393 0.618 1
Y3 Y 0.208 0.223 0.815 1
Tm1 Tm 0.000 0.409 0.250 1
```